1.
U3TiGe5: computed X-ray diffraction stick pattern (λ = 1.5418 Å (Cu Kα)), based on the GGA-PBE geometry in the Materials Project.

Principal peaks in the range 10° ≤ 2θ ≤ 90°, low angle first:
| 2theta | d (Å) | intensity |
| --- | --- | --- |
| 20.87 | 4.256 | 21 |
| 26.20 | 3.402 | 80 |
| 31.61 | 2.831 | 34 |
| 35.92 | 2.500 | 100 |
| 36.57 | 2.457 | 81 |
| 38.18 | 2.357 | 87 |
| 47.27 | 1.923 | 55 |
| 59.13 | 1.563 | 24 |
| 69.49 | 1.353 | 27 |
| 72.25 | 1.308 | 20 |

Structural model:
```
data_U3TiGe5
_chemical_formula_sum 'U6 Ti2 Ge10'
_space_group_name_H-M_alt 'P 63/m c m'
_space_group_IT_number 193
_space_group_name_Hall '-P 6c 2'
_cell_length_a 8.5118
_cell_length_b 8.5118
_cell_length_c 5.6617
_cell_angle_alpha 90.00
_cell_angle_beta 90.00
_cell_angle_gamma 120.00
loop_
_atom_site_label
_atom_site_fract_x
_atom_site_fract_y
_atom_site_fract_z
U1 0.0000 0.3896 0.2500
Ti1 0.0000 0.0000 0.0000
Ge1 0.0000 0.2628 0.7500
Ge2 0.3333 0.6667 0.0000
```

2.
NbMoW: computed X-ray diffraction stick pattern (λ = 1.5418 Å (Cu Kα)), based on the GGA-PBE geometry in the Materials Project.

Principal peaks in the range 10° ≤ 2θ ≤ 90°, low angle first:
| 2theta | d (Å) | intensity |
| --- | --- | --- |
| 13.00 | 6.809 | 19 |
| 39.26 | 2.295 | 26 |
| 39.57 | 2.278 | 100 |
| 39.71 | 2.270 | 25 |
| 57.07 | 1.614 | 17 |
| 57.33 | 1.607 | 8 |
| 71.37 | 1.322 | 17 |
| 71.69 | 1.316 | 9 |
| 71.98 | 1.312 | 25 |
| 85.21 | 1.139 | 11 |

Structural model:
```
data_NbMoW
_chemical_formula_sum 'Nb4 Mo4 W4'
_space_group_name_H-M_alt 'F m m 2'
_space_group_IT_number 42
_space_group_name_Hall 'F 2 -2'
_cell_length_a 3.214
_cell_length_b 4.590
_cell_length_c 13.618
_cell_angle_alpha 90.00
_cell_angle_beta 90.00
_cell_angle_gamma 90.00
loop_
_atom_site_label
_atom_site_fract_x
_atom_site_fract_y
_atom_site_fract_z
Nb1 0.000 0.000 0.000
Mo1 0.000 0.000 0.331
W1 0.000 0.000 0.670
```

3.
Ag32Te20As3: computed X-ray diffraction stick pattern (λ = 1.5418 Å (Cu Kα)), based on the GGA-PBE geometry in the Materials Project.

Principal peaks in the range 10° ≤ 2θ ≤ 90°, low angle first:
| 2theta | d (Å) | intensity |
| --- | --- | --- |
| 27.55 | 3.238 | 37 |
| 28.51 | 3.131 | 43 |
| 30.40 | 2.941 | 30 |
| 31.27 | 2.861 | 26 |
| 35.54 | 2.526 | 23 |
| 37.05 | 2.426 | 23 |
| 38.62 | 2.331 | 25 |
| 40.07 | 2.250 | 100 |
| 40.75 | 2.214 | 30 |
| 44.21 | 2.049 | 28 |

Structural model:
```
data_Ag32Te20As3
_chemical_formula_sum 'Ag32 Te20 As3'
_space_group_name_H-M_alt 'P 6/m m m'
_space_group_IT_number 191
_space_group_name_Hall '-P 6 2'
_cell_length_a 13.9859
_cell_length_b 13.9859
_cell_length_c 8.5832
_cell_angle_alpha 90.00
_cell_angle_beta 90.00
_cell_angle_gamma 120.00
loop_
_atom_site_label
_atom_site_fract_x
_atom_site_fract_y
_atom_site_fract_z
Ag1 0.0000 0.0000 0.1568
Ag2 0.1214 0.2427 0.0000
Ag3 0.1261 0.4608 0.5000
Ag4 0.2387 0.4774 0.1989
Te1 0.0000 0.1963 0.5000
Te2 0.0000 0.3490 0.2135
Te3 0.3333 0.6667 0.0000
As1 0.0000 0.5000 0.0000
```

4.
NaAc3: computed X-ray diffraction stick pattern (λ = 1.5418 Å (Cu Kα)), based on the GGA-PBE geometry in the Materials Project.

Principal peaks in the range 10° ≤ 2θ ≤ 90°, low angle first:
| 2theta | d (Å) | intensity |
| --- | --- | --- |
| 17.26 | 5.137 | 17 |
| 19.96 | 4.449 | 9 |
| 28.37 | 3.146 | 100 |
| 33.40 | 2.683 | 11 |
| 40.56 | 2.224 | 20 |
| 44.38 | 2.041 | 5 |
| 50.23 | 1.816 | 43 |
| 58.70 | 1.573 | 14 |
| 66.46 | 1.407 | 19 |
| 80.84 | 1.189 | 22 |

Structural model:
```
data_NaAc3
_chemical_formula_sum 'Na4 Ac12'
_space_group_name_H-M_alt 'F m -3 m'
_space_group_IT_number 225
_space_group_name_Hall '-F 4 2 3'
_cell_length_a 8.897
_cell_length_b 8.897
_cell_length_c 8.897
_cell_angle_alpha 90.00
_cell_angle_beta 90.00
_cell_angle_gamma 90.00
loop_
_atom_site_label
_atom_site_fract_x
_atom_site_fract_y
_atom_site_fract_z
Na1 0.000 0.000 0.000
Ac1 0.000 0.000 0.500
Ac2 0.250 0.250 0.250
```

5.
LaNdMg2: computed X-ray diffraction stick pattern (λ = 1.5418 Å (Cu Kα)), based on the GGA-PBE geometry in the Materials Project.

Principal peaks in the range 10° ≤ 2θ ≤ 90°, low angle first:
| 2theta | d (Å) | intensity |
| --- | --- | --- |
| 22.67 | 3.923 | 58 |
| 32.27 | 2.774 | 100 |
| 39.80 | 2.265 | 18 |
| 46.29 | 1.961 | 18 |
| 52.14 | 1.754 | 25 |
| 57.55 | 1.601 | 38 |
| 67.54 | 1.387 | 12 |
| 72.25 | 1.308 | 12 |
| 76.85 | 1.240 | 16 |
| 81.36 | 1.183 | 7 |

Structural model:
```
data_LaNdMg2
_chemical_formula_sum 'La4 Nd4 Mg8'
_space_group_name_H-M_alt 'F m -3 m'
_space_group_IT_number 225
_space_group_name_Hall '-F 4 2 3'
_cell_length_a 7.845
_cell_length_b 7.845
_cell_length_c 7.845
_cell_angle_alpha 90.00
_cell_angle_beta 90.00
_cell_angle_gamma 90.00
loop_
_atom_site_label
_atom_site_fract_x
_atom_site_fract_y
_atom_site_fract_z
La1 0.000 0.000 0.000
Nd1 0.000 0.000 0.500
Mg1 0.250 0.250 0.250
```

6.
Tb11CuSe16: computed X-ray diffraction stick pattern (λ = 1.5418 Å (Cu Kα)), based on the GGA-PBE geometry in the Materials Project.

Principal peaks in the range 10° ≤ 2θ ≤ 90°, low angle first:
| 2theta | d (Å) | intensity |
| --- | --- | --- |
| 24.91 | 3.574 | 17 |
| 25.04 | 3.557 | 27 |
| 32.26 | 2.775 | 47 |
| 32.54 | 2.752 | 100 |
| 38.49 | 2.339 | 31 |
| 38.66 | 2.329 | 55 |
| 46.63 | 1.948 | 18 |
| 48.92 | 1.862 | 17 |
| 66.19 | 1.412 | 21 |
| 81.23 | 1.184 | 14 |

Structural model:
```
data_Tb11CuSe16
_chemical_formula_sum 'Tb22 Cu2 Se32'
_space_group_name_H-M_alt 'P 21 21 2'
_space_group_IT_number 18
_cell_length_a 8.697
_cell_length_b 17.402
_cell_length_c 8.783
_cell_angle_alpha 90.00
_cell_angle_beta 90.00
_cell_angle_gamma 90.00
loop_
_space_group_symop_operation_xyz
'x,y,z'
'-x,-y,z'
'x+1/2,-y+1/2,-z'
'-x+1/2,y+1/2,-z'
loop_
_atom_site_label
_atom_site_fract_x
_atom_site_fract_y
_atom_site_fract_z
Tb1 0.000 0.000 0.124
Tb2 0.002 0.748 0.374
Tb3 0.125 0.624 0.763
Tb4 0.135 0.123 0.751
Tb5 0.248 0.319 0.998
Tb6 0.248 0.439 0.487
Cu1 0.000 0.500 0.124
Se1 0.065 0.091 0.433
Se2 0.067 0.654 0.082
Se3 0.072 0.162 0.072
Se4 0.074 0.592 0.444
Se5 0.178 0.284 0.682
Se6 0.179 0.786 0.682
Se7 0.184 0.463 0.805
Se8 0.193 0.967 0.834
```

Q: Which formula does entry 6 have?
A: Tb11CuSe16